No. 1
The following is a theoretical PXRD pattern of LaTiNO2. It was derived from the GGA-PBE geometry in Alexandria, using Cu Kα X-rays.

Structure:
Unit cell a=5.594 b=5.594 c=5.594 alpha=119.38 beta=119.24 gamma=91.20
Fractional coordinates of all 10 atoms:
1 La 0.009 0.250 0.259
2 La 0.491 0.750 0.241
3 Ti 0.250 0.980 0.730
4 Ti 0.750 0.520 0.770
5 N 0.037 0.787 0.250
6 N 0.463 0.713 0.750
7 O 0.049 0.299 0.750
8 O 0.451 0.201 0.250
9 O 0.578 0.250 0.828
10 O 0.922 0.750 0.672

Peak list (8 most intense, 15° ≤ 2θ ≤ 90°, in order of rising 2θ)
d 3.997, 2θ 22.24, rel. 23; d 2.826, 2θ 31.66, rel. 49; d 2.797, 2θ 32.00, rel. 100; d 2.291, 2θ 39.32, rel. 32; d 1.998, 2θ 45.38, rel. 31; d 1.626, 2θ 56.60, rel. 41; d 1.609, 2θ 57.26, rel. 21; d 1.398, 2θ 66.92, rel. 16

---

No. 2
The following is a theoretical PXRD pattern of LaZrNO2. It was derived from the GGA-PBE geometry in Alexandria, using Cu Kα X-rays.

Structure:
Unit cell a=5.841 b=8.510 c=5.794 alpha=90.00 beta=90.00 gamma=90.00
Fractional coordinates of all 20 atoms:
1 La 0.034 0.250 0.013
2 La 0.466 0.750 0.513
3 La 0.534 0.250 0.487
4 La 0.966 0.750 0.987
5 Zr 0.000 0.000 0.500
6 Zr 0.000 0.500 0.500
7 Zr 0.500 0.000 0.000
8 Zr 0.500 0.500 0.000
9 N 0.030 0.750 0.579
10 N 0.470 0.250 0.079
11 N 0.530 0.750 0.921
12 N 0.970 0.250 0.421
13 O 0.181 0.535 0.181
14 O 0.181 0.965 0.181
15 O 0.319 0.035 0.681
16 O 0.319 0.465 0.681
17 O 0.681 0.535 0.319
18 O 0.681 0.965 0.319
19 O 0.819 0.035 0.819
20 O 0.819 0.465 0.819

Peak list (8 most intense, 15° ≤ 2θ ≤ 90°, in order of rising 2θ)
d 2.957, 2θ 30.22, rel. 100; d 2.920, 2θ 30.61, rel. 24; d 2.897, 2θ 30.87, rel. 25; d 2.127, 2θ 42.49, rel. 15; d 2.057, 2θ 44.03, rel. 22; d 1.693, 2θ 54.17, rel. 18; d 1.684, 2θ 54.49, rel. 23; d 1.479, 2θ 62.85, rel. 14

---

No. 3
The following is a theoretical PXRD pattern of LaOs2N. It was derived from the GGA-PBE geometry in Alexandria, using Cu Kα X-rays.

Structure:
Unit cell a=7.495 b=7.495 c=7.495 alpha=141.94 beta=141.94 gamma=54.92
Fractional coordinates of all 8 atoms:
1 La 0.375 0.625 0.750
2 La 0.625 0.375 0.250
3 Os 0.000 0.000 0.000
4 Os 0.000 0.000 0.500
5 Os 0.000 0.500 0.000
6 Os 0.500 0.000 0.500
7 N 0.125 0.875 0.250
8 N 0.875 0.125 0.750

Peak list (8 most intense, 15° ≤ 2θ ≤ 90°, in order of rising 2θ)
d 4.588, 2θ 19.35, rel. 30; d 3.284, 2θ 27.16, rel. 100; d 3.067, 2θ 29.12, rel. 26; d 2.337, 2θ 38.53, rel. 40; d 2.294, 2θ 39.28, rel. 71; d 2.157, 2θ 41.89, rel. 64; d 1.642, 2θ 56.01, rel. 26; d 1.533, 2θ 60.37, rel. 39

---

No. 4
The following is a theoretical PXRD pattern of La3OsN5. It was derived from the GGA-PBE geometry in Alexandria, using Cu Kα X-rays.

Structure:
Unit cell a=7.629 b=7.629 c=7.629 alpha=125.95 beta=125.95 gamma=79.96
Fractional coordinates of all 18 atoms:
1 La 0.176 0.676 0.853
2 La 0.250 0.250 0.000
3 La 0.324 0.176 0.500
4 La 0.676 0.824 0.500
5 La 0.750 0.750 0.000
6 La 0.824 0.324 0.147
7 Os 0.250 0.750 0.500
8 Os 0.750 0.250 0.500
9 N 0.000 0.000 0.000
10 N 0.003 0.794 0.500
11 N 0.206 0.706 0.209
12 N 0.294 0.503 0.500
13 N 0.497 0.997 0.791
14 N 0.500 0.500 0.000
15 N 0.503 0.003 0.209
16 N 0.706 0.497 0.500
17 N 0.794 0.294 0.791
18 N 0.997 0.206 0.500

Peak list (8 most intense, 15° ≤ 2θ ≤ 90°, in order of rising 2θ)
d 2.997, 2θ 29.81, rel. 26; d 2.982, 2θ 29.97, rel. 100; d 2.923, 2θ 30.58, rel. 34; d 2.451, 2θ 36.66, rel. 26; d 2.426, 2θ 37.05, rel. 28; d 1.878, 2θ 48.47, rel. 22; d 1.699, 2θ 53.98, rel. 21; d 1.663, 2θ 55.24, rel. 20

---

No. 5
The following is a theoretical PXRD pattern of La2PmOs2N6. It was derived from the GGA-PBE geometry in Alexandria, using Cu Kα X-rays.

Structure:
Unit cell a=7.008 b=7.008 c=7.008 alpha=48.80 beta=48.80 gamma=48.80
Fractional coordinates of all 11 atoms:
1 La 0.208 0.208 0.208
2 La 0.792 0.792 0.792
3 Pm 0.000 0.000 0.000
4 Os 0.400 0.400 0.400
5 Os 0.600 0.600 0.600
6 N 0.227 0.738 0.738
7 N 0.262 0.262 0.773
8 N 0.262 0.773 0.262
9 N 0.738 0.227 0.738
10 N 0.738 0.738 0.227
11 N 0.773 0.262 0.262

Peak list (8 most intense, 15° ≤ 2θ ≤ 90°, in order of rising 2θ)
d 2.975, 2θ 30.04, rel. 100; d 2.895, 2θ 30.89, rel. 92; d 2.075, 2θ 43.62, rel. 41; d 1.734, 2θ 52.80, rel. 21; d 1.686, 2θ 54.40, rel. 39; d 1.672, 2θ 54.93, rel. 19; d 1.323, 2θ 71.28, rel. 17; d 1.302, 2θ 72.63, rel. 16

---

No. 6
The following is a theoretical PXRD pattern of La2OsPtN. It was derived from the GGA-PBE geometry in Alexandria, using Cu Kα X-rays.

Structure:
Unit cell a=5.268 b=5.268 c=3.807 alpha=90.00 beta=90.00 gamma=90.00
Fractional coordinates of all 5 atoms:
1 La 0.000 0.500 0.000
2 La 0.500 0.000 0.000
3 Os 0.000 0.000 0.500
4 Pt 0.500 0.500 0.500
5 N 0.000 0.000 0.000

Peak list (8 most intense, 15° ≤ 2θ ≤ 90°, in order of rising 2θ)
d 2.662, 2θ 33.66, rel. 100; d 2.634, 2θ 34.03, rel. 53; d 1.903, 2θ 47.79, rel. 10; d 1.863, 2θ 48.90, rel. 19; d 1.543, 2θ 59.96, rel. 21; d 1.526, 2θ 60.68, rel. 37; d 1.331, 2θ 70.78, rel. 13; d 1.201, 2θ 79.86, rel. 9